Record 1
The following is a computed powder X-ray diffraction pattern of CeMn2Co9. It was derived from a structure optimized by DFT (PBE), using Cu Kα (weighted mean of Kα1 and Kα2).

Principal peaks in the range 5 to 70 degrees two-theta, in order of falling intensity:
d [Å]  I_rel  (hkl)
2.047  100  1 1 6
2.400  43  1 1 0
2.070  26  0 2 1
1.961  25  0 0 12
2.614  20  0 0 9
1.901  17  2 0 5
1.386  10  3 0 0
1.558  9  0 2 10
3.395  9  1 0 4
3.116  7  0 1 5

Atomic structure:
Cell: 4.7993 4.7993 23.5359 Å, 90.00 90.00 120.00°
Space group R-3m (No. 166, hexagonal axes)
Unique sites:
Ce1 0.0000 0.0000 0.0000 [3 per cell]
Mn1 0.0000 0.0000 0.1453 [6 per cell]
Co1 0.0000 0.0000 0.3360 [6 per cell]
Co2 0.0000 0.0000 0.5000 [3 per cell]
Co3 0.0085 0.5042 0.9127 [18 per cell]

***

Record 2
The following is a computed powder X-ray diffraction pattern of Ce6CoPb2N. It was derived from a structure optimized by DFT (PBE), using Cu Kα (weighted mean of Kα1 and Kα2).

Principal peaks in the range 5 to 70 degrees two-theta, in order of falling intensity:
d [Å]  I_rel  (hkl)
2.926  100  2 2 2
2.561  44  0 4 0
1.783  30  4 4 0
2.483  21  4 0 0
1.811  15  0 4 4
1.463  15  4 4 4
1.542  14  2 2 6
1.538  14  2 6 2
1.506  14  6 2 2
3.566  5  2 0 2

Atomic structure:
Cell: 9.933 10.231 10.259 Å, 90.00 90.00 90.00°
Space group Fmmm (No. 69)
Unique sites:
Ce1 0.000 0.000 0.237 [8 per cell]
Ce2 0.000 0.238 0.000 [8 per cell]
Ce3 0.247 0.000 0.000 [8 per cell]
Co1 0.000 0.000 0.500 [4 per cell]
Pb1 0.250 0.250 0.250 [8 per cell]
N1 0.000 0.000 0.000 [4 per cell]

***

Record 3
The following is a computed powder X-ray diffraction pattern of CeNbCo4. It was derived from a structure optimized by DFT (PBE), using Cu Kα (weighted mean of Kα1 and Kα2).

Principal peaks in the range 5 to 70 degrees two-theta, in order of falling intensity:
d [Å]  I_rel  (hkl)
2.086  100  3 1 1
2.446  52  2 2 0
1.997  21  2 2 2
1.412  18  4 2 2
3.995  6  1 1 1
3.459  2  2 0 0
1.587  2  3 3 1
1.547  1  4 2 0

Atomic structure:
Cell: 6.919 6.919 6.919 Å, 90.00 90.00 90.00°
Space group F-43m (No. 216)
Unique sites:
Ce1 0.000 0.000 0.000 [4 per cell]
Nb1 0.250 0.250 0.750 [4 per cell]
Co1 0.125 0.125 0.375 [16 per cell]

***

Record 4
The following is a computed powder X-ray diffraction pattern of CeNd3Co3. It was derived from a structure optimized by DFT (PBE), using Cu Kα (weighted mean of Kα1 and Kα2).

Principal peaks in the range 5 to 70 degrees two-theta, in order of falling intensity:
d [Å]  I_rel  (hkl)
2.813  100  3 1 -2
2.619  77  4 0 1
2.633  67  1 1 3
2.259  43  3 1 -5
1.891  33  0 2 0
2.511  27  3 1 1
1.592  23  1 1 -8
2.934  22  2 0 -5
2.977  18  2 0 3
3.098  18  4 0 -3

Atomic structure:
Cell: 12.794 3.782 14.686 Å, 90.00 114.82 90.00°
Space group C2/m (No. 12)
Unique sites:
Ce1 0.161 0.000 0.389 [4 per cell]
Nd1 0.041 0.500 0.805 [4 per cell]
Nd2 0.123 0.000 0.630 [4 per cell]
Nd3 0.167 0.500 0.081 [4 per cell]
Co1 0.015 0.000 0.929 [4 per cell]
Co2 0.075 0.500 0.456 [4 per cell]
Co3 0.165 0.000 0.242 [4 per cell]

***

Record 5
The following is a computed powder X-ray diffraction pattern of CeNd2SmCo2. It was derived from a structure optimized by DFT (PBE), using Cu Kα (weighted mean of Kα1 and Kα2).

Principal peaks in the range 5 to 70 degrees two-theta, in order of falling intensity:
d [Å]  I_rel  (hkl)
2.429  100  2 0 2
2.995  96  0 2 2
3.062  89  2 2 0
2.676  79  1 4 1
1.785  23  1 4 3
3.207  23  0 4 0
1.957  23  1 6 1
1.936  22  2 4 2
1.482  21  2 2 4
1.694  20  0 0 4

Atomic structure:
Cell: 6.970 12.828 6.775 Å, 90.00 90.00 90.00°
Space group Ibam (No. 72)
Unique sites:
Ce1 0.000 0.000 0.250 [4 per cell]
Nd1 0.206 0.201 0.000 [8 per cell]
Sm1 0.000 0.500 0.250 [4 per cell]
Co1 0.211 0.091 0.500 [8 per cell]

***

Record 6
The following is a computed powder X-ray diffraction pattern of Ce4Co4Ni. It was derived from a structure optimized by DFT (PBE), using Cu Kα (weighted mean of Kα1 and Kα2).

Principal peaks in the range 5 to 70 degrees two-theta, in order of falling intensity:
d [Å]  I_rel  (hkl)
2.606  100  1 3 0
2.963  40  2 1 1
2.063  40  1 2 2
2.914  27  2 2 0
2.384  25  1 0 2
1.559  22  4 1 2
3.175  22  2 0 1
1.843  20  4 2 0
1.684  18  2 3 2
1.800  17  3 1 2

Atomic structure:
Cell: 8.241 8.241 4.981 Å, 90.00 90.00 90.00°
Space group P4_2/n (No. 86, origin choice 2)
Unique sites:
Ce1 0.025 0.682 0.096 [8 per cell]
Co1 0.005 0.349 0.455 [8 per cell]
Ni1 0.250 0.250 0.250 [2 per cell]

***

Record 7
The following is a computed powder X-ray diffraction pattern of Ce3Co8Ni. It was derived from a structure optimized by DFT (PBE), using Cu Kα (weighted mean of Kα1 and Kα2).

Principal peaks in the range 5 to 70 degrees two-theta, in order of falling intensity:
d [Å]  I_rel  (hkl)
2.113  100  2 0 2
2.477  53  1 1 0
2.023  22  0 2 4
1.349  15  2 1 10
1.348  11  3 0 6
1.430  11  1 2 8
2.698  8  1 0 7
3.216  6  0 1 5
4.046  6  0 0 6
1.430  5  3 0 0

Atomic structure:
Cell: 4.9522 4.9522 24.2981 Å, 90.00 90.00 120.00°
Space group R3m (No. 160, hexagonal axes)
Unique sites:
Ce1 0.0000 0.0000 0.0000 [3 per cell]
Ce2 0.0000 0.0000 0.1322 [3 per cell]
Ce3 0.0000 0.0000 0.5208 [3 per cell]
Co1 0.0000 0.0000 0.3193 [3 per cell]
Co2 0.0000 0.0000 0.8205 [3 per cell]
Co3 0.0010 0.5005 0.5724 [9 per cell]
Co4 0.1684 0.3369 0.4006 [9 per cell]
Ni1 0.0000 0.0000 0.6426 [3 per cell]

***

Record 8
The following is a computed powder X-ray diffraction pattern of CeCoNi. It was derived from a structure optimized by DFT (PBE), using Cu Kα (weighted mean of Kα1 and Kα2).

Principal peaks in the range 5 to 70 degrees two-theta, in order of falling intensity:
d [Å]  I_rel  (hkl)
2.518  100  1 1 2
2.125  85  2 1 1
2.165  84  1 2 1
2.143  43  1 0 3
2.156  42  0 1 3
2.559  27  0 2 0
2.079  25  0 2 2
2.472  23  2 0 0
2.031  21  2 0 2
1.378  20  2 3 1

Atomic structure:
Cell: 4.943 5.118 7.133 Å, 90.00 90.00 90.00°
Space group Imma (No. 74)
Unique sites:
Ce1 0.000 0.250 0.127 [4 per cell]
Co1 0.000 0.000 0.500 [4 per cell]
Ni1 0.250 0.250 0.750 [4 per cell]